1.
This entry pairs a crystal structure of TmPuSc6 with its computed X-ray powder pattern. Radiation: copper Kα. Structure: a cell relaxed with PBE.

Crystal structure
a = 6.615 Å, b = 6.615 Å, c = 4.598 Å
α = 90.00°, β = 90.00°, γ = 90.16°
Sites, in units of the cell vectors:
Tm1 0.000 0.000 0.000
Pu1 0.500 0.500 0.000
Sc1 0.000 0.500 0.000
Sc2 0.255 0.255 0.500
Sc3 0.255 0.745 0.500
Sc4 0.500 0.000 0.000
Sc5 0.745 0.255 0.500
Sc6 0.745 0.745 0.500

The 12 most intense peaks (2θ from 10° to 90°), low angle first:
Position (°2θ)	I/Imax
18.97	41
19.30	20
26.96	18
27.20	36
33.37	100
38.43	17
38.55	17
39.19	16
47.77	17
56.10	22
66.31	13
66.47	13

***

2.
This entry pairs a crystal structure of TmPuSc14 with its computed X-ray powder pattern. Radiation: copper Kα. Structure: a cell relaxed with PBE.

Crystal structure
a = 10.271 Å, b = 6.403 Å, c = 6.403 Å
α = 70.61°, β = 90.00°, γ = 90.00°
Sites, in units of the cell vectors:
Tm1 0.000 0.000 0.000
Pu1 0.000 0.545 0.545
Sc1 0.000 0.061 0.484
Sc2 0.000 0.484 0.061
Sc3 0.236 0.755 0.755
Sc4 0.254 0.269 0.695
Sc5 0.254 0.695 0.269
Sc6 0.268 0.208 0.208
Sc7 0.500 0.415 0.415
Sc8 0.500 0.483 0.901
Sc9 0.500 0.901 0.483
Sc10 0.500 0.962 0.962
Sc11 0.732 0.208 0.208
Sc12 0.746 0.269 0.695
Sc13 0.746 0.695 0.269
Sc14 0.764 0.755 0.755

The 12 most intense peaks (2θ from 10° to 90°), low angle first:
Position (°2θ)	I/Imax
16.98	19
17.27	17
19.06	23
25.59	13
29.62	15
30.86	29
34.32	14
34.45	100
34.94	32
35.45	18
39.80	15
62.35	16

***

3.
This entry pairs a crystal structure of YPuSc6 with its computed X-ray powder pattern. Radiation: copper Kα. Structure: a cell relaxed with PBE.

Crystal structure
a = 6.675 Å, b = 6.675 Å, c = 5.298 Å
α = 90.00°, β = 90.00°, γ = 120.00°
Sites, in units of the cell vectors:
Y1 0.000 0.000 0.000
Pu1 0.333 0.667 0.500
Sc1 0.001 0.501 0.000
Sc2 0.340 0.170 0.500
Sc3 0.499 0.501 0.000
Sc4 0.499 0.999 0.000
Sc5 0.830 0.170 0.500
Sc6 0.830 0.660 0.500

The 12 most intense peaks (2θ from 10° to 90°), low angle first:
Position (°2θ)	I/Imax
15.33	38
22.77	51
26.71	21
30.94	28
33.84	25
35.37	100
44.87	18
46.50	18
55.03	18
61.53	19
66.18	20
67.14	14

***

4.
This entry pairs a crystal structure of Y3PuSc8 with its computed X-ray powder pattern. Radiation: copper Kα. Structure: a cell relaxed with PBE.

Crystal structure
a = 7.827 Å, b = 7.827 Å, c = 7.827 Å
α = 117.02°, β = 117.02°, γ = 95.25°
Sites, in units of the cell vectors:
Y1 0.000 0.000 0.000
Y2 0.250 0.750 0.500
Y3 0.750 0.250 0.500
Pu1 0.500 0.500 0.000
Sc1 0.146 0.394 0.000
Sc2 0.239 0.239 0.552
Sc3 0.313 0.761 0.000
Sc4 0.394 0.146 0.000
Sc5 0.606 0.606 0.752
Sc6 0.687 0.687 0.448
Sc7 0.761 0.313 0.000
Sc8 0.854 0.854 0.248

The 12 most intense peaks (2θ from 10° to 90°), low angle first:
Position (°2θ)	I/Imax
13.70	59
15.32	39
21.74	35
22.82	100
30.93	58
33.99	30
35.41	29
38.78	96
40.70	37
46.61	35
60.32	29
64.03	23

***

5.
This entry pairs a crystal structure of PuZr3Sc3 with its computed X-ray powder pattern. Radiation: copper Kα. Structure: a cell relaxed with PBE.

Crystal structure
a = 8.603 Å, b = 8.603 Å, c = 5.208 Å
α = 90.00°, β = 90.00°, γ = 120.00°
Sites, in units of the cell vectors:
Pu1 0.333 0.667 0.250
Pu2 0.667 0.333 0.750
Zr1 0.098 0.609 0.750
Zr2 0.391 0.489 0.750
Zr3 0.489 0.098 0.250
Zr4 0.511 0.902 0.750
Zr5 0.609 0.511 0.250
Zr6 0.902 0.391 0.250
Sc1 0.053 0.811 0.250
Sc2 0.189 0.242 0.250
Sc3 0.242 0.053 0.750
Sc4 0.758 0.947 0.250
Sc5 0.811 0.758 0.750
Sc6 0.947 0.189 0.750

The 12 most intense peaks (2θ from 10° to 90°), low angle first:
Position (°2θ)	I/Imax
11.88	39
20.65	16
20.81	12
29.48	12
31.78	21
34.44	22
36.26	100
47.56	14
56.62	18
62.89	19
67.98	18
69.11	12

***

6.
This entry pairs a crystal structure of PuZrSc14 with its computed X-ray powder pattern. Radiation: copper Kα. Structure: a cell relaxed with PBE.

Crystal structure
a = 6.510 Å, b = 6.510 Å, c = 9.147 Å
α = 90.00°, β = 90.00°, γ = 90.00°
Sites, in units of the cell vectors:
Pu1 0.000 0.000 0.000
Zr1 0.500 0.500 0.000
Sc1 0.000 0.000 0.500
Sc2 0.000 0.500 0.000
Sc3 0.000 0.500 0.500
Sc4 0.252 0.252 0.245
Sc5 0.252 0.252 0.755
Sc6 0.252 0.748 0.245
Sc7 0.252 0.748 0.755
Sc8 0.500 0.000 0.000
Sc9 0.500 0.000 0.500
Sc10 0.500 0.500 0.500
Sc11 0.748 0.252 0.245
Sc12 0.748 0.252 0.755
Sc13 0.748 0.748 0.245
Sc14 0.748 0.748 0.755

The 12 most intense peaks (2θ from 10° to 90°), low angle first:
Position (°2θ)	I/Imax
16.72	11
19.28	12
21.61	18
27.46	15
33.80	100
39.14	33
39.40	16
56.55	10
56.75	21
67.53	24
67.89	12
71.10	10

***

7.
This entry pairs a crystal structure of PuZr2Sc4 with its computed X-ray powder pattern. Radiation: copper Kα. Structure: a cell relaxed with PBE.

Crystal structure
a = 3.269 Å, b = 7.312 Å, c = 7.228 Å
α = 90.00°, β = 90.10°, γ = 90.00°
Sites, in units of the cell vectors:
Pu1 0.000 0.000 0.000
Zr1 0.000 0.500 0.000
Zr2 0.000 0.500 0.500
Sc1 0.499 0.224 0.722
Sc2 0.499 0.776 0.722
Sc3 0.501 0.224 0.278
Sc4 0.501 0.776 0.278

The 12 most intense peaks (2θ from 10° to 90°), low angle first:
Position (°2θ)	I/Imax
12.25	69
17.25	85
27.32	55
30.00	31
32.46	41
34.91	100
36.88	89
37.08	87
39.00	32
63.77	31
64.16	30
67.96	27

***

8.
This entry pairs a crystal structure of PuZr3Sc6 with its computed X-ray powder pattern. Radiation: copper Kα. Structure: a cell relaxed with PBE.

Crystal structure
a = 10.537 Å, b = 10.537 Å, c = 5.749 Å
α = 90.00°, β = 90.00°, γ = 131.32°
Sites, in units of the cell vectors:
Pu1 0.151 0.849 0.500
Pu2 0.849 0.151 0.000
Zr1 0.042 0.304 0.527
Zr2 0.304 0.042 0.027
Zr3 0.422 0.578 0.420
Zr4 0.578 0.422 0.920
Zr5 0.696 0.958 0.527
Zr6 0.958 0.696 0.027
Sc1 0.001 0.999 0.729
Sc2 0.108 0.542 0.184
Sc3 0.258 0.379 0.951
Sc4 0.301 0.699 0.711
Sc5 0.379 0.258 0.451
Sc6 0.458 0.892 0.184
Sc7 0.542 0.108 0.684
Sc8 0.621 0.742 0.951
Sc9 0.699 0.301 0.211
Sc10 0.742 0.621 0.451
Sc11 0.892 0.458 0.684
Sc12 0.999 0.001 0.229

The 12 most intense peaks (2θ from 10° to 90°), low angle first:
Position (°2θ)	I/Imax
17.21	58
18.48	47
19.08	46
27.36	38
31.85	55
34.28	75
35.01	100
35.77	73
36.43	49
37.51	49
38.28	41
64.35	34